# 1
The following is a theoretical powder diffractogram of MnO2. It was derived from a cell relaxed with GGA+U, using Cu Kα (weighted mean of Kα1 and Kα2).
No peak broadening, texture or thermal motion is included.

Structure:
abc: 2.921 2.921 3.705
angles: 90.00 90.00 90.00
Space group P4/mmm (No. 123)
Inequivalent atoms, fractional coordinates:
Mn 0.000 0.000 0.000 [1 per cell]
O 0.000 0.000 0.500 [1 per cell]
O 0.500 0.500 0.000 [1 per cell]

Principal peaks in the range 2θ = 15–90°, sorted by position:
d = 3.705 Å, 24.02 deg, I 947, (0 0 1)
d = 2.921 Å, 30.61 deg, I 1000, (1 0 0)
d = 2.294 Å, 39.28 deg, I 174, (1 0 1)
d = 2.065 Å, 43.83 deg, I 854, (1 1 0)
d = 1.853 Å, 49.18 deg, I 289, (0 0 2)
d = 1.804 Å, 50.59 deg, I 443, (1 1 1)
d = 1.564 Å, 59.04 deg, I 266, (1 0 2)
d = 1.460 Å, 63.72 deg, I 229, (2 0 0)
d = 1.379 Å, 67.97 deg, I 365, (1 1 2)
d = 1.359 Å, 69.13 deg, I 158, (2 0 1)
d = 1.306 Å, 72.34 deg, I 137, (2 1 0)
d = 1.147 Å, 84.47 deg, I 182, (2 0 2)



# 2
The following is a theoretical powder diffractogram of TbCr2O2. It was derived from a cell relaxed with GGA+U, using Cu Kα (weighted mean of Kα1 and Kα2).
No peak broadening, texture or thermal motion is included.

Structure:
abc: 8.774 8.774 9.828
angles: 90.00 90.00 90.00
Space group I4_1/amd (No. 141, origin choice 2)
Inequivalent atoms, fractional coordinates:
Tb 0.000 0.000 0.000 [8 per cell]
Cr 0.000 0.054 0.638 [16 per cell]
O 0.000 0.091 0.205 [16 per cell]

Principal peaks in the range 2θ = 15–90°, sorted by position:
d = 3.644 Å, 24.43 deg, I 210, (2 1 1)
d = 3.273 Å, 27.25 deg, I 504, (2 0 2)
d = 3.102 Å, 28.78 deg, I 1000, (2 2 0)
d = 3.069 Å, 29.10 deg, I 274, (1 0 3)
d = 2.515 Å, 35.70 deg, I 530, (2 1 3)
d = 2.362 Å, 38.09 deg, I 151, (3 2 1)
d = 2.194 Å, 41.15 deg, I 298, (4 0 0)
d = 2.182 Å, 41.38 deg, I 241, (3 0 3)
d = 1.822 Å, 50.06 deg, I 305, (4 2 2)
d = 1.757 Å, 52.04 deg, I 158, (2 1 5)
d = 1.547 Å, 59.78 deg, I 147, (4 3 3)
d = 1.534 Å, 60.32 deg, I 154, (2 0 6)



# 3
The following is a theoretical powder diffractogram of BaCo2P2O8. It was derived from a cell relaxed with GGA+U, using Cu Kα (weighted mean of Kα1 and Kα2).
No peak broadening, texture or thermal motion is included.

Structure:
abc: 4.895 4.900 16.180
angles: 90.07 98.54 119.94
Space group P1 (No. 1)
Inequivalent atoms, fractional coordinates:
Ba 0.000 0.000 0.000 [1 per cell]
Ba 0.001 0.500 0.500 [1 per cell]
Co 0.169 0.082 0.254 [1 per cell]
Co 0.170 0.585 0.755 [1 per cell]
Co 0.831 0.416 0.246 [1 per cell]
Co 0.831 0.915 0.745 [1 per cell]
P 0.427 0.713 0.141 [1 per cell]
P 0.428 0.214 0.641 [1 per cell]
P 0.573 0.286 0.860 [1 per cell]
P 0.574 0.787 0.360 [1 per cell]
O 0.151 0.915 0.673 [1 per cell]
O 0.152 0.415 0.173 [1 per cell]
O 0.243 0.266 0.828 [1 per cell]
O 0.244 0.767 0.328 [1 per cell]
O 0.362 0.682 0.045 [1 per cell]
O 0.364 0.182 0.545 [1 per cell]
O 0.438 0.023 0.173 [1 per cell]
O 0.439 0.523 0.673 [1 per cell]
O 0.561 0.477 0.328 [1 per cell]
O 0.562 0.977 0.828 [1 per cell]
O 0.637 0.319 0.956 [1 per cell]
O 0.639 0.820 0.456 [1 per cell]
O 0.757 0.734 0.172 [1 per cell]
O 0.758 0.234 0.672 [1 per cell]
O 0.850 0.585 0.828 [1 per cell]
O 0.852 0.085 0.328 [1 per cell]

Principal peaks in the range 2θ = 15–90°, sorted by position:
d = 4.177 Å, 21.27 deg, I 293, (-1 1 1)
d = 3.992 Å, 22.27 deg, I 589, (0 0 4)
d = 3.174 Å, 28.12 deg, I 1000, (1 0 -4)
d = 2.660 Å, 33.69 deg, I 500, (1 0 4)
d = 2.450 Å, 36.69 deg, I 676, (-2 1 1)
d = 2.088 Å, 43.33 deg, I 420, (1 1 3)
d = 2.083 Å, 43.44 deg, I 151, (-2 1 5)
d = 1.940 Å, 46.82 deg, I 165, (0 2 -4)
d = 1.936 Å, 46.93 deg, I 214, (-2 2 4)
d = 1.547 Å, 59.78 deg, I 148, (2 -1 7)
d = 1.544 Å, 59.89 deg, I 178, (-1 2 8)
d = 1.521 Å, 60.91 deg, I 160, (3 -2 2)



# 4
The following is a theoretical powder diffractogram of Mg2VBiO6. It was derived from a cell relaxed with GGA+U, using Cu Kα (weighted mean of Kα1 and Kα2).
No peak broadening, texture or thermal motion is included.

Structure:
abc: 12.492 5.525 8.015
angles: 90.00 90.00 90.00
Space group Pnma (No. 62)
Inequivalent atoms, fractional coordinates:
Mg 0.085 0.250 0.199 [4 per cell]
Mg 0.095 0.250 0.812 [4 per cell]
V 0.198 0.750 0.019 [4 per cell]
Bi 0.091 0.750 0.487 [4 per cell]
O 0.007 0.002 0.671 [8 per cell]
O 0.117 0.010 0.007 [8 per cell]
O 0.206 0.250 0.363 [4 per cell]
O 0.241 0.250 0.711 [4 per cell]

Principal peaks in the range 2θ = 15–90°, sorted by position:
d = 4.138 Å, 21.47 deg, I 364, (2 1 0)
d = 4.007 Å, 22.18 deg, I 309, (0 0 2)
d = 3.071 Å, 29.07 deg, I 1000, (3 1 1)
d = 2.879 Å, 31.07 deg, I 771, (2 1 2)
d = 2.762 Å, 32.41 deg, I 205, (0 2 0)
d = 2.556 Å, 35.10 deg, I 213, (1 2 1)
d = 2.082 Å, 43.46 deg, I 193, (6 0 0)
d = 1.898 Å, 47.93 deg, I 212, (1 2 3)
d = 1.805 Å, 50.58 deg, I 346, (5 2 1)
d = 1.662 Å, 55.27 deg, I 180, (6 2 0)
d = 1.648 Å, 55.77 deg, I 153, (3 3 1)
d = 1.523 Å, 60.84 deg, I 151, (5 2 3)



# 5
The following is a theoretical powder diffractogram of Mn3P2O14. It was derived from a cell relaxed with GGA+U, using Cu Kα (weighted mean of Kα1 and Kα2).
No peak broadening, texture or thermal motion is included.

Structure:
abc: 5.246 19.129 5.279
angles: 90.00 109.89 90.00
Space group P2_1 (No. 4)
Inequivalent atoms, fractional coordinates:
Mn 0.030 0.000 0.460 [2 per cell]
Mn 0.228 0.746 0.926 [2 per cell]
Mn 0.273 0.245 0.574 [2 per cell]
P 0.207 0.843 0.446 [2 per cell]
P 0.245 0.648 0.404 [2 per cell]
O 0.042 0.441 0.205 [2 per cell]
O 0.088 0.694 0.559 [2 per cell]
O 0.095 0.049 0.240 [2 per cell]
O 0.095 0.322 0.682 [2 per cell]
O 0.125 0.667 0.104 [2 per cell]
O 0.137 0.277 0.214 [2 per cell]
O 0.208 0.570 0.454 [2 per cell]
O 0.240 0.921 0.391 [2 per cell]
O 0.254 0.449 0.639 [2 per cell]
O 0.262 0.008 0.786 [2 per cell]
O 0.329 0.826 0.747 [2 per cell]
O 0.370 0.800 0.293 [2 per cell]
O 0.410 0.214 0.937 [2 per cell]
O 0.451 0.166 0.473 [2 per cell]

Principal peaks in the range 2θ = 15–90°, sorted by position:
d = 4.964 Å, 17.87 deg, I 1000, (0 0 1)
d = 4.933 Å, 17.98 deg, I 421, (1 0 0)
d = 4.784 Å, 18.55 deg, I 858, (0 4 0)
d = 4.777 Å, 18.57 deg, I 346, (1 1 0)
d = 4.385 Å, 20.25 deg, I 366, (1 2 0)
d = 3.570 Å, 24.94 deg, I 553, (1 3 -1)
d = 3.201 Å, 27.87 deg, I 435, (1 4 -1)
d = 3.024 Å, 29.54 deg, I 301, (1 5 0)
d = 2.861 Å, 31.27 deg, I 744, (1 5 -1)
d = 2.731 Å, 32.79 deg, I 245, (1 3 1)
d = 2.463 Å, 36.48 deg, I 422, (0 1 2)
d = 2.389 Å, 37.65 deg, I 233, (2 2 0)



# 6
The following is a theoretical powder diffractogram of MgV4O5F7. It was derived from a cell relaxed with GGA+U, using Cu Kα (weighted mean of Kα1 and Kα2).
No peak broadening, texture or thermal motion is included.

Structure:
abc: 5.226 5.451 8.950
angles: 106.13 90.94 118.08
Space group P1 (No. 1)
Inequivalent atoms, fractional coordinates:
Mg 0.000 0.000 0.000 [1 per cell]
V 0.010 0.057 0.352 [1 per cell]
V 0.335 0.629 0.080 [1 per cell]
V 0.513 0.088 0.843 [1 per cell]
V 0.744 0.561 0.577 [1 per cell]
O 0.283 0.839 0.969 [1 per cell]
O 0.341 0.330 0.927 [1 per cell]
O 0.380 0.358 0.509 [1 per cell]
O 0.739 0.845 0.151 [1 per cell]
O 0.834 0.848 0.465 [1 per cell]
F 0.182 0.810 0.664 [1 per cell]
F 0.232 0.851 0.268 [1 per cell]
F 0.243 0.326 0.212 [1 per cell]
F 0.727 0.836 0.782 [1 per cell]
F 0.750 0.331 0.713 [1 per cell]
F 0.856 0.334 0.409 [1 per cell]
F 0.865 0.311 0.016 [1 per cell]

Principal peaks in the range 2θ = 15–90°, sorted by position:
d = 3.765 Å, 23.63 deg, I 1000, (-1 1 1)
d = 3.740 Å, 23.79 deg, I 506, (1 0 1)
d = 2.744 Å, 32.63 deg, I 87, (1 1 -1)
d = 2.719 Å, 32.94 deg, I 109, (1 -2 1)
d = 2.695 Å, 33.24 deg, I 104, (0 1 2)
d = 2.278 Å, 39.56 deg, I 88, (1 1 -3)
d = 2.249 Å, 40.09 deg, I 94, (1 -2 3)
d = 1.882 Å, 48.35 deg, I 236, (-2 2 2)
d = 1.870 Å, 48.69 deg, I 99, (2 0 2)
d = 1.712 Å, 53.52 deg, I 150, (2 -3 0)
d = 1.702 Å, 53.86 deg, I 93, (-1 2 3)
d = 1.492 Å, 62.20 deg, I 114, (3 -2 3)